# CsCoC4O4
Computed powder XRD pattern, Cu Kα (λ = 1.5418 Å). Input: a structure optimized by DFT (GGA+U).
Lines closer than 0.1° are merged.

Atomic structure:
a = 8.244 Å, b = 8.244 Å, c = 5.344 Å
α = 90.00°, β = 90.00°, γ = 90.00°
Space group I-4 (No. 82)
Inequivalent atoms, fractional coordinates:
Cs 0.000 0.000 0.000
Co 0.000 0.500 0.750
C 0.061 0.656 0.554
O 0.102 0.761 0.420

Largest 10 diffraction maxima, in order of falling intensity, 15° ≤ 2θ ≤ 90°:
two_theta	I_rel	index
29.43	100	1 2 1
21.56	45	2 0 0
19.80	45	1 0 1
48.80	26	3 1 2
37.01	23	1 1 2
30.67	16	2 2 0
49.44	14	2 4 0
58.59	14	5 0 1
43.03	14	2 3 1
36.78	13	3 0 1